The following is a computed XRD peak list of V2CdO4. It was derived from a DFT-relaxed cell (PBE+U, Alexandria), using a wavelength of 1.5418 Å.

Cell and atoms:
Cell: 6.325 6.325 8.694 Å, 90.00 90.00 90.00°
Space group I4_1/a (No. 88, origin choice 2)
Asymmetric unit:
V1 0.000 0.000 0.000
Cd1 0.000 0.250 0.625
O1 0.008 0.037 0.235

Peak list (12 most intense, 2θ from 15° to 90°, low angle first)
| d (Å) | 2θ (°) | I (rel.) | h k l |
| --- | --- | --- | --- |
| 3.162 | 28.22 | 33.7 | 2 0 0 |
| 3.117 | 28.64 | 64.4 | 1 1 2 |
| 2.690 | 33.31 | 100.0 | 1 2 1 |
| 2.634 | 34.03 | 49.0 | 1 0 3 |
| 1.817 | 50.21 | 23.8 | 3 1 2 |
| 1.791 | 50.99 | 11.2 | 2 0 4 |
| 1.720 | 53.27 | 35.3 | 2 3 1 |
| 1.677 | 54.75 | 15.8 | 1 0 5 |
| 1.581 | 58.36 | 19.0 | 4 0 0 |
| 1.559 | 59.29 | 36.5 | 2 2 4 |
| 1.356 | 69.31 | 11.5 | 4 1 3 |
| 1.159 | 83.36 | 9.1 | 5 0 3 |